For SrReHg2, a GGA-PBE-relaxed structure gives the calculated XRD peak list in this record (Cu Kα (weighted mean of Kα1 and Kα2)).
Lines closer than 0.1° are merged.

Cell and atoms:
a b c (Å): 3.0769 4.7330 14.1347
angles (deg): 90.00 90.00 90.00
Space group Imm2 (No. 44)
Asymmetric unit:
1 Sr 0.0000 0.0000 0.0000 [2 per cell]
2 Re 0.0000 0.5000 0.3069 [2 per cell]
3 Hg 0.0000 0.0000 0.6376 [2 per cell]
4 Hg 0.0000 0.5000 0.8202 [2 per cell]

Peak list (10 most intense, 15° ≤ 2θ ≤ 90°, in order of rising 2θ)
2θ (°)	intensity
19.8	17
25.2	22
26.7	30
37.1	100
38.0	30
38.2	26
43.4	46
55.0	18
63.9	23
68.1	17